Theoretical X-ray powder pattern
Compound: IrRh2
Radiation: Cu Kα (λ = 1.5418 Å)
Structure: a crystal structure in Alexandria, relaxed with GGA-PBE

Cell and atoms:
abc: 2.7208 2.7208 20.0975
angles: 90.00 90.00 120.00
Space group R-3m (No. 166, hexagonal axes)
Unique sites:
Ir 0.0000 0.0000 0.0000
Rh 0.0000 0.0000 0.2232

Most intense lines, 15° ≤ 2θ ≤ 90°, by angle:
2θ/deg, Rel. int., hkl
38.5, 52.7, 1 0 1
40.4, 48.6, 0 0 9
42.4, 100.0, 1 0 4
44.6, 82.8, 0 1 5
53.3, 22.9, 0 1 8
69.0, 29.7, 1 1 0
73.2, 20.5, 1 0 13
77.9, 15.2, 0 1 14
83.1, 36.0, 1 1 9
84.5, 13.7, 0 2 4